No. 1
Diffraction record for BaNdZr2O6. The XRD peak list is calculated, not measured: it uses a crystal structure in Alexandria, relaxed with GGA-PBE and Cu Kα, 1.54184 Å.
Neutral-atom scattering factors, no anomalous dispersion.

Largest 12 diffraction maxima, most intense first, 2θ = 15–90°:
- 2θ = 30.05°, I 100
- 2θ = 29.94°, I 51
- 2θ = 53.22°, I 40
- 2θ = 42.85°, I 32
- 2θ = 53.42°, I 21
- 2θ = 62.46°, I 19
- 2θ = 70.59°, I 18
- 2θ = 43.17°, I 15
- 2θ = 36.98°, I 11
- 2θ = 86.44°, I 11
- 2θ = 86.28°, I 11
- 2θ = 86.71°, I 10

Structure:
Unit cell a=4.2206 b=4.2206 c=8.3827 alpha=90.00 beta=90.00 gamma=90.00
Positions (direct):
Ba 0.0000 0.0000 0.0000
Nd 0.0000 0.0000 0.5000
Zr 0.5000 0.5000 0.2555
Zr 0.5000 0.5000 0.7445
O 0.0000 0.5000 0.2730
O 0.0000 0.5000 0.7270
O 0.5000 0.0000 0.2730
O 0.5000 0.0000 0.7270
O 0.5000 0.5000 0.0000
O 0.5000 0.5000 0.5000

***

No. 2
Diffraction record for BaNdZr2O6. The XRD peak list is calculated, not measured: it uses a crystal structure in Alexandria, relaxed with GGA-PBE and Cu Kα, 1.54184 Å.
Neutral-atom scattering factors, no anomalous dispersion.

Largest 12 diffraction maxima, most intense first, 2θ = 15–90°:
- 2θ = 30.51°, I 100
- 2θ = 29.84°, I 93
- 2θ = 30.20°, I 88
- 2θ = 53.00°, I 42
- 2θ = 54.25°, I 41
- 2θ = 53.58°, I 40
- 2θ = 42.25°, I 31
- 2θ = 43.16°, I 27
- 2θ = 44.21°, I 24
- 2θ = 61.99°, I 17
- 2θ = 37.19°, I 17
- 2θ = 62.81°, I 16

Structure:
Unit cell a=5.8617 b=5.8617 c=4.2782 alpha=90.00 beta=90.00 gamma=91.31
Positions (direct):
Ba 0.0000 0.0000 0.0000
Nd 0.5000 0.5000 0.0000
Zr 0.0000 0.5000 0.5000
Zr 0.5000 0.0000 0.5000
O 0.0000 0.5000 0.0000
O 0.1965 0.8035 0.5000
O 0.3196 0.3196 0.5000
O 0.5000 0.0000 0.0000
O 0.6804 0.6804 0.5000
O 0.8035 0.1965 0.5000

***

No. 3
Diffraction record for BaNd3P. The XRD peak list is calculated, not measured: it uses a crystal structure in Alexandria, relaxed with GGA-PBE and Cu Kα, 1.54184 Å.
Neutral-atom scattering factors, no anomalous dispersion.

Largest 12 diffraction maxima, most intense first, 2θ = 15–90°:
- 2θ = 27.00°, I 100
- 2θ = 31.27°, I 64
- 2θ = 44.81°, I 47
- 2θ = 53.10°, I 46
- 2θ = 74.12°, I 21
- 2θ = 71.95°, I 19
- 2θ = 55.66°, I 17
- 2θ = 82.63°, I 16
- 2θ = 88.89°, I 15
- 2θ = 65.24°, I 8
- 2θ = 15.49°, I 2
- 2θ = 35.07°, I 1

Structure:
Unit cell a=5.7208 b=5.7208 c=5.7208 alpha=90.00 beta=90.00 gamma=90.00
Positions (direct):
Ba 0.0000 0.0000 0.0000
Nd 0.0000 0.5000 0.5000
Nd 0.5000 0.0000 0.5000
Nd 0.5000 0.5000 0.0000
P 0.5000 0.5000 0.5000

***

No. 4
Diffraction record for BaNdPb. The XRD peak list is calculated, not measured: it uses a crystal structure in Alexandria, relaxed with GGA-PBE and Cu Kα, 1.54184 Å.
Neutral-atom scattering factors, no anomalous dispersion.

Largest 12 diffraction maxima, most intense first, 2θ = 15–90°:
- 2θ = 31.46°, I 100
- 2θ = 34.79°, I 62
- 2θ = 26.34°, I 49
- 2θ = 34.34°, I 35
- 2θ = 60.30°, I 32
- 2θ = 26.14°, I 27
- 2θ = 49.69°, I 25
- 2θ = 24.41°, I 24
- 2θ = 50.03°, I 22
- 2θ = 19.80°, I 20
- 2θ = 65.38°, I 18
- 2θ = 53.46°, I 16

Structure:
Unit cell a=5.1569 b=5.1569 c=9.0867 alpha=90.00 beta=90.00 gamma=90.00
Positions (direct):
Ba 0.2500 0.2500 0.1447
Ba 0.7500 0.7500 0.8553
Nd 0.2500 0.7500 0.5000
Nd 0.7500 0.2500 0.5000
Pb 0.2500 0.2500 0.7389
Pb 0.7500 0.7500 0.2611

***

No. 5
Diffraction record for BaNdZn2Pd2. The XRD peak list is calculated, not measured: it uses a crystal structure in Alexandria, relaxed with GGA-PBE and Cu Kα, 1.54184 Å.
Neutral-atom scattering factors, no anomalous dispersion.

Largest 12 diffraction maxima, most intense first, 2θ = 15–90°:
- 2θ = 31.39°, I 100
- 2θ = 39.85°, I 61
- 2θ = 51.58°, I 24
- 2θ = 67.10°, I 22
- 2θ = 60.54°, I 18
- 2θ = 72.37°, I 15
- 2θ = 85.95°, I 8
- 2θ = 43.60°, I 7
- 2θ = 88.44°, I 7
- 2θ = 52.22°, I 7
- 2θ = 70.33°, I 6
- 2θ = 49.71°, I 6

Structure:
Unit cell a=4.5246 b=4.5246 c=8.3027 alpha=90.00 beta=90.00 gamma=120.00
Positions (direct):
Ba 0.0000 0.0000 0.0000
Nd 0.0000 0.0000 0.5000
Zn 0.3333 0.6667 0.2872
Zn 0.6667 0.3333 0.7128
Pd 0.3333 0.6667 0.7054
Pd 0.6667 0.3333 0.2946

***

No. 6
Diffraction record for BaPmNd4S8. The XRD peak list is calculated, not measured: it uses a crystal structure in Alexandria, relaxed with GGA-PBE and Cu Kα, 1.54184 Å.
Neutral-atom scattering factors, no anomalous dispersion.

Largest 12 diffraction maxima, most intense first, 2θ = 15–90°:
- 2θ = 24.61°, I 100
- 2θ = 42.62°, I 61
- 2θ = 39.00°, I 47
- 2θ = 20.94°, I 26
- 2θ = 29.78°, I 22
- 2θ = 59.11°, I 19
- 2θ = 77.98°, I 14
- 2θ = 25.72°, I 13
- 2θ = 49.80°, I 11
- 2θ = 36.69°, I 11
- 2θ = 61.86°, I 9
- 2θ = 75.57°, I 8

Structure:
Unit cell a=8.4777 b=8.4777 c=8.4777 alpha=60.11 beta=60.11 gamma=60.11
Positions (direct):
Ba 0.0000 0.0000 0.0000
Pm 0.3735 0.3735 0.3735
Nd 0.3736 0.3736 0.8800
Nd 0.3736 0.8800 0.3736
Nd 0.7503 0.7503 0.7503
Nd 0.8800 0.3736 0.3736
S 0.1414 0.1414 0.1414
S 0.1425 0.1425 0.5762
S 0.1425 0.5762 0.1425
S 0.1480 0.6166 0.6166
S 0.5762 0.1425 0.1425
S 0.6166 0.1480 0.6166
S 0.6166 0.6166 0.1480
S 0.6178 0.6178 0.6178

***

No. 7
Diffraction record for Ba3Pm2NdTe6. The XRD peak list is calculated, not measured: it uses a crystal structure in Alexandria, relaxed with GGA-PBE and Cu Kα, 1.54184 Å.
Neutral-atom scattering factors, no anomalous dispersion.

Largest 12 diffraction maxima, most intense first, 2θ = 15–90°:
- 2θ = 26.77°, I 100
- 2θ = 38.71°, I 38
- 2θ = 37.72°, I 37
- 2θ = 47.69°, I 20
- 2θ = 63.03°, I 18
- 2θ = 61.65°, I 16
- 2θ = 55.15°, I 12
- 2θ = 69.38°, I 8
- 2θ = 46.01°, I 6
- 2θ = 67.43°, I 6
- 2θ = 87.98°, I 5
- 2θ = 89.23°, I 5

Structure:
Unit cell a=8.0548 b=8.0548 c=8.3352 alpha=99.28 beta=99.28 gamma=119.91
Positions (direct):
Ba 0.0000 0.0000 0.0000
Ba 0.3338 0.6662 0.0000
Ba 0.6662 0.3338 0.0000
Pm 0.1667 0.8333 0.5000
Pm 0.8333 0.1667 0.5000
Nd 0.5000 0.5000 0.5000
Te 0.0907 0.4256 0.2766
Te 0.2395 0.2395 0.7232
Te 0.4256 0.0907 0.2766
Te 0.5744 0.9093 0.7234
Te 0.7605 0.7605 0.2768
Te 0.9093 0.5744 0.7234

***

No. 8
Diffraction record for Ba2NdS3. The XRD peak list is calculated, not measured: it uses a crystal structure in Alexandria, relaxed with GGA-PBE and Cu Kα, 1.54184 Å.
Neutral-atom scattering factors, no anomalous dispersion.

Largest 12 diffraction maxima, most intense first, 2θ = 15–90°:
- 2θ = 28.89°, I 100
- 2θ = 41.31°, I 48
- 2θ = 24.87°, I 36
- 2θ = 25.04°, I 35
- 2θ = 48.76°, I 19
- 2θ = 51.38°, I 13
- 2θ = 51.02°, I 13
- 2θ = 41.12°, I 12
- 2θ = 49.03°, I 12
- 2θ = 41.55°, I 12
- 2θ = 59.86°, I 12
- 2θ = 75.09°, I 12

Structure:
Unit cell a=14.4345 b=13.7610 c=7.5855 alpha=79.36 beta=69.55 gamma=31.10
Positions (direct):
Ba 0.0436 0.0436 0.2064
Ba 0.1228 0.1228 0.6272
Ba 0.2064 0.2064 0.0436
Ba 0.3728 0.3728 0.8772
Ba 0.6272 0.6272 0.1228
Ba 0.7936 0.7936 0.9564
Ba 0.8772 0.8772 0.3728
Ba 0.9564 0.9564 0.7936
Nd 0.2914 0.2914 0.4586
Nd 0.4586 0.4586 0.2914
Nd 0.5414 0.5414 0.7086
Nd 0.7086 0.7086 0.5414
S 0.0367 0.5373 0.2380
S 0.1519 0.5981 0.5981
S 0.2380 0.6880 0.0367
S 0.3120 0.7620 0.4627
S 0.4019 0.8481 0.8481
S 0.4627 0.9633 0.3120
S 0.5373 0.0367 0.6880
S 0.5981 0.1519 0.1519
S 0.6880 0.2380 0.5373
S 0.7620 0.3120 0.9633
S 0.8481 0.4019 0.4019
S 0.9633 0.4627 0.7620

***

What did the second record say?
Diffraction record for BaNdZr2O6. The XRD peak list is calculated, not measured: it uses a crystal structure in Alexandria, relaxed with GGA-PBE and Cu Kα, 1.54184 Å.
Neutral-atom scattering factors, no anomalous dispersion.

Largest 12 diffraction maxima, most intense first, 2θ = 15–90°:
- 2θ = 30.51°, I 100
- 2θ = 29.84°, I 93
- 2θ = 30.20°, I 88
- 2θ = 53.00°, I 42
- 2θ = 54.25°, I 41
- 2θ = 53.58°, I 40
- 2θ = 42.25°, I 31
- 2θ = 43.16°, I 27
- 2θ = 44.21°, I 24
- 2θ = 61.99°, I 17
- 2θ = 37.19°, I 17
- 2θ = 62.81°, I 16

Structure:
Unit cell a=5.8617 b=5.8617 c=4.2782 alpha=90.00 beta=90.00 gamma=91.31
Positions (direct):
Ba 0.0000 0.0000 0.0000
Nd 0.5000 0.5000 0.0000
Zr 0.0000 0.5000 0.5000
Zr 0.5000 0.0000 0.5000
O 0.0000 0.5000 0.0000
O 0.1965 0.8035 0.5000
O 0.3196 0.3196 0.5000
O 0.5000 0.0000 0.0000
O 0.6804 0.6804 0.5000
O 0.8035 0.1965 0.5000